Entry 1:
Diffraction record for Sr2LiCuBrO2. The X-ray powder pattern is simulated, not measured: it uses DFT lattice parameters and positions (GGA-PBE) and Cu Ka.
Neutral-atom scattering factors, no anomalous dispersion.

Structural model:
a = 4.2320 Å, b = 4.2320 Å, c = 29.5879 Å
α = 90.00°, β = 90.00°, γ = 120.00°
Space group R3m (No. 160, hexagonal axes)
Unique sites:
Sr  0.0000  0.0000  0.0000 x3
Sr  0.0000  0.0000  0.4653 x3
Li  0.0000  0.0000  0.8703 x3
Cu  0.0000  0.0000  0.7394 x3
Br  0.0000  0.0000  0.2368 x3
O  0.0000  0.0000  0.6763 x3
O  0.0000  0.0000  0.8064 x3

Most intense lines, 2θ from 10° to 80°, sorted by position:
hkl 1 0 4, 2θ 27.15, I 100.0; hkl 0 1 5, 2θ 28.65, I 12.6; hkl 0 1 8, 2θ 34.45, I 28.3; hkl 1 1 0, 2θ 42.73, I 36.8; hkl 1 0 13, 2θ 47.00, I 6.8; hkl 0 2 4, 2θ 51.36, I 25.7; hkl 2 0 8, 2θ 55.99, I 8.9; hkl 1 1 12, 2θ 57.38, I 8.4; hkl 2 1 4, 2θ 68.97, I 11.9; hkl 1 2 8, 2θ 72.90, I 11.5



Entry 2:
Diffraction record for Sr2LiCuBrO2. The X-ray powder pattern is simulated, not measured: it uses DFT lattice parameters and positions (GGA-PBE) and Cu Ka.
Neutral-atom scattering factors, no anomalous dispersion.

Structural model:
a = 7.325 Å, b = 4.236 Å, c = 10.222 Å
α = 90.00°, β = 104.58°, γ = 90.00°
Space group Cm (No. 8)
Unique sites:
Sr  0.000  0.000  0.000 x2
Sr  0.030  0.500  0.607 x2
Li  0.120  0.000  0.395 x2
Cu  0.259  0.000  0.785 x2
Br  0.253  0.500  0.300 x2
O  0.189  0.000  0.585 x2
O  0.324  0.000  0.973 x2

Most intense lines, 2θ from 10° to 80°, sorted by position:
hkl 2 0 -2, 2θ 27.02, I 70.4; hkl 1 1 1, 2θ 27.20, I 100.0; hkl 1 1 -2, 2θ 28.53, I 15.5; hkl 1 1 -3, 2θ 34.27, I 31.2; hkl 2 0 2, 2θ 34.65, I 16.0; hkl 0 2 0, 2θ 42.73, I 62.1; hkl 2 2 -2, 2θ 51.25, I 23.0; hkl 4 0 0, 2θ 51.58, I 14.1; hkl 4 0 -4, 2θ 55.71, I 10.0; hkl 1 3 1, 2θ 68.88, I 13.2